# 1
For Ba3S2Br2, a structure optimized by DFT (GGA-PBE) gives the computed XRD peak list in this record (Cu Kα (weighted mean of Kα1 and Kα2)).
Lines closer than 0.1° are merged.

Atomic structure:
abc: 15.314 4.544 8.490
angles: 90.00 102.71 90.00
Space group C2/m (No. 12)
One atom of each set of equivalent atoms:
Ba1 0.000 0.000 0.000 (multiplicity 2)
Ba2 0.224 0.000 0.763 (multiplicity 4)
S1 0.130 0.500 0.917 (multiplicity 4)
Br1 0.143 0.000 0.360 (multiplicity 4)

Main lines, low angle first (15° ≤ 2θ ≤ 90°):
| index | 2θ/deg | d [Å] | I (rel.) |
| --- | --- | --- | --- |
| 1 1 0 | 20.43 | 4.348 | 32 |
| 2 0 2 | 26.81 | 3.325 | 60 |
| 3 1 -1 | 27.14 | 3.285 | 100 |
| 1 1 -3 | 37.45 | 2.401 | 42 |
| 0 2 0 | 39.61 | 2.275 | 53 |
| 2 2 2 | 48.53 | 1.876 | 23 |

# 2
For Ba3SBr3, a structure optimized by DFT (GGA-PBE) gives the computed XRD peak list in this record (Cu Kα (weighted mean of Kα1 and Kα2)).
Lines closer than 0.1° are merged.

Atomic structure:
abc: 8.892 9.499 13.445
angles: 90.00 90.00 90.00
Space group Imma (No. 74)
One atom of each set of equivalent atoms:
Ba1 0.000 0.250 0.003 (multiplicity 4)
Ba2 0.250 0.023 0.250 (multiplicity 8)
S1 0.000 0.250 0.230 (multiplicity 4)
Br1 0.000 0.250 0.753 (multiplicity 4)
Br2 0.244 0.000 0.500 (multiplicity 8)

Main lines, low angle first (15° ≤ 2θ ≤ 90°):
| index | 2θ/deg | d [Å] | I (rel.) |
| --- | --- | --- | --- |
| 1 2 1 | 22.22 | 4.000 | 20 |
| 0 0 4 | 26.52 | 3.361 | 56 |
| 2 2 0 | 27.48 | 3.246 | 100 |
| 2 2 4 | 38.56 | 2.335 | 78 |
| 0 4 4 | 46.84 | 1.940 | 20 |
| 2 2 8 | 62.22 | 1.492 | 25 |

# 3
For Ba2TlS2Br2, a structure optimized by DFT (GGA-PBE) gives the computed XRD peak list in this record (Cu Kα (weighted mean of Kα1 and Kα2)).
Lines closer than 0.1° are merged.

Atomic structure:
abc: 5.350 5.350 16.925
angles: 90.00 90.00 90.00
Space group I4/mmm (No. 139)
One atom of each set of equivalent atoms:
Ba1 0.000 0.000 0.118 (multiplicity 4)
Tl1 0.000 0.000 0.500 (multiplicity 2)
S1 0.000 0.500 0.000 (multiplicity 4)
Br1 0.000 0.000 0.309 (multiplicity 4)

Main lines, low angle first (15° ≤ 2θ ≤ 90°):
| index | 2θ/deg | d [Å] | I (rel.) |
| --- | --- | --- | --- |
| 1 0 3 | 22.91 | 3.882 | 28 |
| 1 1 0 | 23.52 | 3.783 | 95 |
| 1 0 5 | 31.27 | 2.861 | 100 |
| 2 0 0 | 33.50 | 2.675 | 59 |
| 2 1 5 | 46.48 | 1.954 | 66 |
| 3 1 0 | 54.21 | 1.692 | 24 |

# 4
For Ba4SbBr4, a structure optimized by DFT (GGA-PBE) gives the computed XRD peak list in this record (Cu Kα (weighted mean of Kα1 and Kα2)).
Lines closer than 0.1° are merged.

Atomic structure:
abc: 15.890 4.893 12.112
angles: 90.00 121.15 90.00
Space group C2/m (No. 12)
One atom of each set of equivalent atoms:
Ba1 0.094 0.000 0.400 (multiplicity 4)
Ba2 0.206 0.500 0.792 (multiplicity 4)
Sb1 0.000 0.500 0.500 (multiplicity 2)
Br1 0.119 0.000 0.891 (multiplicity 4)
Br2 0.197 0.500 0.298 (multiplicity 4)

Main lines, low angle first (15° ≤ 2θ ≤ 90°):
| index | 2θ/deg | d [Å] | I (rel.) |
| --- | --- | --- | --- |
| 3 1 -2 | 25.76 | 3.458 | 100 |
| 2 0 2 | 26.47 | 3.367 | 48 |
| 0 2 0 | 36.72 | 2.447 | 76 |
| 5 1 0 | 37.84 | 2.377 | 36 |
| 2 2 2 | 45.85 | 1.979 | 21 |
| 3 3 -2 | 59.79 | 1.547 | 15 |